(1)
The following is a computed powder diffractogram of Ac5Cu2Sn2. It was derived from a DFT-relaxed cell (GGA-PBE, Alexandria), using copper Kα.
Kinematic intensities with the Lorentz-polarization factor, no thermal factor.

Top 8 peaks for 2θ from 10° to 90°, in order of rising 2θ:
- (0 2 1), 23.1 deg, I = 40.9
- (1 1 2), 23.7 deg, I = 32.2
- (3 1 2), 28.2 deg, I = 61.3
- (0 2 2), 29.3 deg, I = 39.5
- (4 2 0), 29.8 deg, I = 100.0
- (5 1 1), 30.6 deg, I = 31.7
- (4 2 1), 31.7 deg, I = 64.3
- (1 3 1), 33.3 deg, I = 83.7

```
data_Ac5Cu2Sn2
_chemical_formula_sum 'Ac20 Cu8 Sn8'
_symmetry_space_group_name_H-M 'C m c e'
_symmetry_Int_Tables_number 64
_symmetry_space_group_name_Hall '-C 2ac 2'
_cell_length_a 16.6573
_cell_length_b 8.6006
_cell_length_c 8.6326
_cell_angle_alpha 90.00
_cell_angle_beta 90.00
_cell_angle_gamma 90.00
loop_
_atom_site_label
_atom_site_type_symbol
_atom_site_fract_x
_atom_site_fract_y
_atom_site_fract_z
_atom_site_occupancy
Ac1 Ac 0.0000 0.0000 0.0000 1
Ac2 Ac 0.1315 0.1717 0.3305 1
Cu1 Cu 0.0000 0.1114 0.6121 1
Sn1 Sn 0.2081 0.0000 0.0000 1
```



(2)
The following is a computed powder diffractogram of AcCuSn2. It was derived from a DFT-relaxed cell (GGA-PBE, Alexandria), using copper Kα.
Kinematic intensities with the Lorentz-polarization factor, no thermal factor.

Top 8 peaks for 2θ from 10° to 90°, in order of rising 2θ:
- (1 3 1), 30.3 deg, I = 100.0
- (0 6 1), 34.2 deg, I = 20.3
- (2 0 0), 38.1 deg, I = 40.7
- (1 5 2), 49.5 deg, I = 11.4
- (2 6 1), 52.2 deg, I = 13.3
- (2 0 2), 55.0 deg, I = 15.6
- (1 9 2), 62.4 deg, I = 10.5
- (3 3 1), 64.1 deg, I = 22.2

```
data_AcCuSn2
_chemical_formula_sum 'Ac4 Cu4 Sn8'
_symmetry_space_group_name_H-M 'C m c m'
_symmetry_Int_Tables_number 63
_symmetry_space_group_name_Hall '-C 2c 2'
_cell_length_a 4.7189
_cell_length_b 18.9002
_cell_length_c 4.7207
_cell_angle_alpha 90.00
_cell_angle_beta 90.00
_cell_angle_gamma 90.00
loop_
_atom_site_label
_atom_site_type_symbol
_atom_site_fract_x
_atom_site_fract_y
_atom_site_fract_z
_atom_site_occupancy
Ac1 Ac 0.0000 0.1076 0.2500 1
Cu1 Cu 0.0000 0.3204 0.2500 1
Sn1 Sn 0.0000 0.2496 0.7500 1
Sn2 Sn 0.0000 0.4564 0.2500 1
```



(3)
The following is a computed powder diffractogram of Ac7Cu2Sn2. It was derived from a DFT-relaxed cell (GGA-PBE, Alexandria), using copper Kα.
Kinematic intensities with the Lorentz-polarization factor, no thermal factor.

Top 8 peaks for 2θ from 10° to 90°, in order of rising 2θ:
- (0 0 2), 23.5 deg, I = 42.7
- (2 2 0), 25.1 deg, I = 100.0
- (1 1 2), 26.7 deg, I = 59.5
- (0 2 2), 27.7 deg, I = 31.5
- (0 4 0), 29.0 deg, I = 73.3
- (1 3 2), 33.8 deg, I = 51.3
- (2 2 2), 34.6 deg, I = 95.7
- (0 4 2), 37.7 deg, I = 24.8

```
data_Ac7Cu2Sn2
_chemical_formula_sum 'Ac14 Cu4 Sn4'
_symmetry_space_group_name_H-M 'C m m m'
_symmetry_Int_Tables_number 65
_symmetry_space_group_name_Hall '-C 2 2'
_cell_length_a 8.7098
_cell_length_b 12.3067
_cell_length_c 7.5750
_cell_angle_alpha 90.00
_cell_angle_beta 90.00
_cell_angle_gamma 90.00
loop_
_atom_site_label
_atom_site_type_symbol
_atom_site_fract_x
_atom_site_fract_y
_atom_site_fract_z
_atom_site_occupancy
Ac1 Ac 0.0000 0.0000 0.0000 1
Ac2 Ac 0.0000 0.5000 0.2376 1
Ac3 Ac 0.2500 0.2500 0.2637 1
Cu1 Cu 0.0000 0.2879 0.0000 1
Sn1 Sn 0.1703 0.0000 0.5000 1
```



(4)
The following is a computed powder diffractogram of Ac3Cu4Sn. It was derived from a DFT-relaxed cell (GGA-PBE, Alexandria), using copper Kα.
Kinematic intensities with the Lorentz-polarization factor, no thermal factor.

Top 8 peaks for 2θ from 10° to 90°, in order of rising 2θ:
- (0 1 3), 22.1 deg, I = 36.7
- (1 1 2), 27.2 deg, I = 100.0
- (1 1 4), 34.0 deg, I = 26.8
- (1 2 1), 34.9 deg, I = 21.0
- (1 0 5), 35.8 deg, I = 29.8
- (2 0 0), 41.5 deg, I = 21.9
- (1 3 2), 48.3 deg, I = 22.3
- (1 3 8), 68.7 deg, I = 24.8

```
data_Ac3Cu4Sn
_chemical_formula_sum 'Ac6 Cu8 Sn2'
_symmetry_space_group_name_H-M 'I m m m'
_symmetry_Int_Tables_number 71
_symmetry_space_group_name_Hall '-I 2 2'
_cell_length_a 4.3508
_cell_length_b 6.5173
_cell_length_c 15.3568
_cell_angle_alpha 90.00
_cell_angle_beta 90.00
_cell_angle_gamma 90.00
loop_
_atom_site_label
_atom_site_type_symbol
_atom_site_fract_x
_atom_site_fract_y
_atom_site_fract_z
_atom_site_occupancy
Ac1 Ac 0.0000 0.0000 0.0000 1
Ac2 Ac 0.0000 0.5000 0.1875 1
Cu1 Cu 0.0000 0.3118 0.3770 1
Sn1 Sn 0.0000 0.0000 0.5000 1
```



(5)
The following is a computed powder diffractogram of AcCuSn3. It was derived from a DFT-relaxed cell (GGA-PBE, Alexandria), using copper Kα.
Kinematic intensities with the Lorentz-polarization factor, no thermal factor.

Top 8 peaks for 2θ from 10° to 90°, in order of rising 2θ:
- (1 3 1), 29.0 deg, I = 100.0
- (0 6 1), 29.1 deg, I = 22.3
- (1 5 1), 32.6 deg, I = 19.6
- (2 0 0), 38.0 deg, I = 27.8
- (1 9 0), 38.3 deg, I = 20.7
- (0 0 2), 38.4 deg, I = 27.0
- (2 0 2), 55.2 deg, I = 19.2
- (1 15 1), 63.7 deg, I = 17.2

```
data_AcCuSn3
_chemical_formula_sum 'Ac4 Cu4 Sn12'
_symmetry_space_group_name_H-M 'C m m m'
_symmetry_Int_Tables_number 65
_symmetry_space_group_name_Hall '-C 2 2'
_cell_length_a 4.7320
_cell_length_b 24.3731
_cell_length_c 4.6833
_cell_angle_alpha 90.00
_cell_angle_beta 90.00
_cell_angle_gamma 90.00
loop_
_atom_site_label
_atom_site_type_symbol
_atom_site_fract_x
_atom_site_fract_y
_atom_site_fract_z
_atom_site_occupancy
Ac1 Ac 0.0000 0.1677 0.0000 1
Cu1 Cu 0.0000 0.3891 0.5000 1
Sn1 Sn 0.0000 0.0590 0.5000 1
Sn2 Sn 0.0000 0.2838 0.5000 1
Sn3 Sn 0.0000 0.4413 0.0000 1
```



(6)
The following is a computed powder diffractogram of Ac2Cu3Sn2. It was derived from a DFT-relaxed cell (GGA-PBE, Alexandria), using copper Kα.
Kinematic intensities with the Lorentz-polarization factor, no thermal factor.

Top 8 peaks for 2θ from 10° to 90°, in order of rising 2θ:
- (2 2 0), 28.0 deg, I = 100.0
- (2 2 2), 34.5 deg, I = 22.3
- (3 1 2), 37.4 deg, I = 16.9
- (4 0 0), 40.1 deg, I = 38.3
- (4 2 2), 49.6 deg, I = 36.4
- (4 4 0), 58.0 deg, I = 21.9
- (6 0 2), 65.6 deg, I = 12.0
- (6 4 2), 79.7 deg, I = 13.1

```
data_Ac2Cu3Sn2
_chemical_formula_sum 'Ac8 Cu12 Sn8'
_symmetry_space_group_name_H-M 'I 21 3'
_symmetry_Int_Tables_number 199
_symmetry_space_group_name_Hall 'I 2b 2c 3'
_cell_length_a 8.9986
_cell_length_b 8.9986
_cell_length_c 8.9986
_cell_angle_alpha 90.00
_cell_angle_beta 90.00
_cell_angle_gamma 90.00
loop_
_atom_site_label
_atom_site_type_symbol
_atom_site_fract_x
_atom_site_fract_y
_atom_site_fract_z
_atom_site_occupancy
Ac1 Ac 0.2425 0.2575 0.7425 1
Cu1 Cu 0.0000 0.2500 0.0239 1
Sn1 Sn 0.0294 0.4706 0.5294 1
```